No. 1
# Cs3Cu5O4
Simulated powder diffraction line list, CuKα. Input: a cell relaxed with PBE.
Intensities are scaled so that the largest is 100.

Atomic structure:
a = 10.4179 Å, b = 7.6667 Å, c = 14.9355 Å
α = 90.00°, β = 106.17°, γ = 90.00°
Sites, in units of the cell vectors:
Cs 0.1031 0.1706 0.0942
Cs 0.1031 0.3294 0.5942
Cs 0.2777 0.6992 0.0824
Cs 0.2777 0.8008 0.5824
Cs 0.3216 0.0927 0.8918
Cs 0.3216 0.4073 0.3918
Cs 0.6784 0.5927 0.6082
Cs 0.6784 0.9073 0.1082
Cs 0.7223 0.1992 0.4176
Cs 0.7223 0.3008 0.9176
Cs 0.8969 0.6706 0.4058
Cs 0.8969 0.8294 0.9058
Cu 0.0640 0.6768 0.7394
Cu 0.0640 0.8232 0.2394
Cu 0.0654 0.0771 0.3718
Cu 0.0654 0.4229 0.8718
Cu 0.2936 0.5654 0.8561
Cu 0.2936 0.9346 0.3561
Cu 0.4291 0.0416 0.2318
Cu 0.4291 0.4584 0.7318
Cu 0.4717 0.2087 0.6274
Cu 0.4717 0.2913 0.1274
Cu 0.5283 0.7087 0.8726
Cu 0.5283 0.7913 0.3726
Cu 0.5709 0.5416 0.2682
Cu 0.5709 0.9584 0.7682
Cu 0.7064 0.0654 0.6439
Cu 0.7064 0.4346 0.1439
Cu 0.9346 0.5771 0.1282
Cu 0.9346 0.9229 0.6282
Cu 0.9360 0.1768 0.7606
Cu 0.9360 0.3232 0.2606
O 0.0032 0.2052 0.8863
O 0.0032 0.2948 0.3863
O 0.1317 0.6479 0.8678
O 0.1317 0.8521 0.3678
O 0.3991 0.0726 0.1060
O 0.3991 0.4274 0.6060
O 0.4610 0.0176 0.3591
O 0.4610 0.4824 0.8591
O 0.5390 0.5176 0.1409
O 0.5390 0.9824 0.6409
O 0.6009 0.5726 0.3940
O 0.6009 0.9274 0.8940
O 0.8683 0.1479 0.6322
O 0.8683 0.3521 0.1322
O 0.9968 0.7052 0.6137
O 0.9968 0.7948 0.1137

Principal peaks in the range 5° ≤ 2θ ≤ 70°, by angle:
- 24.81°, rel. 88
- 26.25°, rel. 45
- 27.03°, rel. 43
- 28.69°, rel. 100
- 28.96°, rel. 50
- 29.65°, rel. 50


No. 2
# Cs2CuP2O7
Simulated powder diffraction line list, CuKα. Input: a cell relaxed with PBE.
Intensities are scaled so that the largest is 100.

Atomic structure:
a = 7.5760 Å, b = 7.5760 Å, c = 10.0913 Å
α = 100.59°, β = 100.59°, γ = 120.53°
Sites, in units of the cell vectors:
Cs 0.0393 0.9607 0.5000
Cs 0.3591 0.7750 0.1899
Cs 0.7750 0.3591 0.6899
Cs 0.9607 0.0393 0.0000
Cu 0.3014 0.5687 0.5281
Cu 0.5687 0.3014 0.0281
P 0.3409 0.8481 0.8259
P 0.3858 0.4802 0.8147
P 0.4802 0.3858 0.3147
P 0.8481 0.3409 0.3259
O 0.0842 0.5377 0.3642
O 0.1580 0.3152 0.8080
O 0.1751 0.8252 0.8974
O 0.2394 0.7346 0.6621
O 0.3152 0.1580 0.3080
O 0.4208 0.4762 0.6671
O 0.4503 0.7271 0.8887
O 0.4762 0.4208 0.1671
O 0.4811 0.5694 0.4117
O 0.5377 0.0842 0.8642
O 0.5694 0.4811 0.9117
O 0.7271 0.4503 0.3887
O 0.7346 0.2394 0.1621
O 0.8252 0.1751 0.3974

Principal peaks in the range 5° ≤ 2θ ≤ 70°, by angle:
- 19.67°, rel. 47
- 23.31°, rel. 47
- 23.97°, rel. 63
- 25.53°, rel. 79
- 27.50°, rel. 100
- 28.98°, rel. 42